[1]
Starting from DFT lattice parameters and positions (GGA-PBE), the X-ray powder pattern of NaMg3O4 was simulated for CuKα.

Peak list (3 most intense, 2θ = 5–70°, sorted by position)
35.72°, intensity 9.4, hkl 1 1 1; 41.48°, intensity 100.0, hkl 2 0 0; 60.11°, intensity 56.2, hkl 2 2 0

Crystal structure
abc: 4.3538 4.3538 4.3538
angles: 90.00 90.00 90.00
Sites, in units of the cell vectors:
Na  0.0000  0.0000  0.0000
Mg  0.0000  0.5000  0.5000
Mg  0.5000  0.0000  0.5000
Mg  0.5000  0.5000  0.0000
O  0.0000  0.0000  0.5000
O  0.0000  0.5000  0.0000
O  0.5000  0.0000  0.0000
O  0.5000  0.5000  0.5000

=====

[2]
Starting from DFT lattice parameters and positions (GGA-PBE), the X-ray powder pattern of Na3Mg2P5O16 was simulated for CuKα.

Peak list (10 most intense, 2θ = 5–70°, sorted by position)
9.39°, intensity 45.5, hkl 0 0 2; 13.59°, intensity 56.9, hkl 0 1 1; 18.84°, intensity 35.9, hkl 0 0 4; 19.05°, intensity 33.3, hkl 0 1 3; 19.37°, intensity 71.9, hkl 1 0 -2; 21.78°, intensity 65.8, hkl 1 1 1; 25.63°, intensity 36.4, hkl 1 1 3; 28.46°, intensity 61.0, hkl 0 0 6; 31.27°, intensity 100.0, hkl 1 2 -1; 32.38°, intensity 46.3, hkl 1 2 2

Crystal structure
abc: 5.2404 6.9432 18.8409
angles: 90.00 90.23 90.00
Sites, in units of the cell vectors:
Na  0.0000  0.0342  0.2500
Na  0.0000  0.9658  0.7500
Na  0.2477  0.3519  0.4676
Na  0.2477  0.6481  0.9676
Na  0.7523  0.3519  0.0324
Na  0.7523  0.6481  0.5324
Mg  0.2314  0.1779  0.9080
Mg  0.2314  0.8221  0.4080
Mg  0.7686  0.1779  0.5920
Mg  0.7686  0.8221  0.0920
P  0.2578  0.4744  0.6300
P  0.2578  0.5256  0.1300
P  0.2718  0.1223  0.0830
P  0.2718  0.8777  0.5830
P  0.5000  0.2594  0.7500
P  0.5000  0.7406  0.2500
P  0.7282  0.1223  0.4170
P  0.7282  0.8777  0.9170
P  0.7422  0.4744  0.8700
P  0.7422  0.5256  0.3700
O  0.0138  0.4307  0.8907
O  0.0138  0.5693  0.3907
O  0.0961  0.0218  0.6191
O  0.0961  0.9782  0.1191
O  0.1601  0.2171  0.0162
O  0.1601  0.7829  0.5162
O  0.2866  0.2996  0.1437
O  0.2866  0.7004  0.6437
O  0.3078  0.4041  0.7102
O  0.3078  0.5959  0.2102
O  0.3380  0.1489  0.8012
O  0.3380  0.8511  0.3012
O  0.4511  0.0631  0.4257
O  0.4511  0.9369  0.9257
O  0.4634  0.3986  0.5810
O  0.4634  0.6014  0.0810
O  0.5366  0.3986  0.9190
O  0.5366  0.6014  0.4190
O  0.5489  0.0631  0.0743
O  0.5489  0.9369  0.5743
O  0.6620  0.1489  0.6988
O  0.6620  0.8511  0.1988
O  0.6922  0.4041  0.7898
O  0.6922  0.5959  0.2898
O  0.7134  0.2996  0.3563
O  0.7134  0.7004  0.8563
O  0.8399  0.2171  0.4838
O  0.8399  0.7829  0.9838
O  0.9039  0.0218  0.8809
O  0.9039  0.9782  0.3809
O  0.9862  0.4307  0.6093
O  0.9862  0.5693  0.1093

=====

Which formula does entry 1 have?
NaMg3O4